Simulated powder XRD pattern
Compound: NdAlGe2O7
Radiation: Cu Kα X-rays
Structure: a crystal structure in OQMD, relaxed with PBE
Peak positions follow from Bragg's law for the DFT cell and can differ from measured ones.

Structural model:
Unit cell a=7.194 b=6.541 c=12.716 alpha=90.00 beta=117.48 gamma=90.00
Sites, in units of the cell vectors:
Nd 0.235 0.147 0.475
Nd 0.235 0.353 0.975
Nd 0.765 0.647 0.025
Nd 0.765 0.853 0.525
Al 0.213 0.103 0.730
Al 0.213 0.397 0.230
Al 0.787 0.603 0.770
Al 0.787 0.897 0.270
Ge 0.210 0.657 0.452
Ge 0.210 0.843 0.952
Ge 0.300 0.590 0.721
Ge 0.300 0.910 0.221
Ge 0.700 0.090 0.779
Ge 0.700 0.410 0.279
Ge 0.790 0.157 0.048
Ge 0.790 0.343 0.548
O 0.004 0.661 0.917
O 0.004 0.839 0.417
O 0.158 0.680 0.186
O 0.158 0.820 0.686
O 0.203 0.053 0.865
O 0.203 0.447 0.365
O 0.220 0.116 0.278
O 0.220 0.384 0.778
O 0.248 0.001 0.074
O 0.248 0.499 0.574
O 0.408 0.675 0.976
O 0.408 0.825 0.476
O 0.428 0.123 0.697
O 0.428 0.377 0.197
O 0.572 0.623 0.803
O 0.572 0.877 0.303
O 0.592 0.175 0.524
O 0.592 0.325 0.024
O 0.752 0.501 0.426
O 0.752 0.999 0.926
O 0.780 0.616 0.222
O 0.780 0.884 0.722
O 0.797 0.553 0.635
O 0.797 0.947 0.135
O 0.842 0.180 0.314
O 0.842 0.320 0.814
O 0.996 0.161 0.583
O 0.996 0.339 0.083

Main lines, sorted by position (15° ≤ 2θ ≤ 90°):
| 2θ (°) | d [Å] | Rel. int. | hkl |
| --- | --- | --- | --- |
| 15.70 | 5.645 | 43.4 | 0 0 2 |
| 24.93 | 3.572 | 24.9 | 2 0 -2 |
| 27.96 | 3.191 | 100.0 | 2 0 0 |
| 28.08 | 3.178 | 54.2 | 1 0 -4 |
| 30.05 | 2.974 | 97.2 | 1 2 -1 |
| 31.16 | 2.870 | 34.7 | 2 0 -4 |
| 31.73 | 2.820 | 36.5 | 0 0 4 |
| 33.37 | 2.685 | 34.5 | 1 2 1 |
| 36.41 | 2.468 | 27.2 | 0 2 3 |
| 45.38 | 1.998 | 27.2 | 1 2 -5 |
| 48.50 | 1.877 | 32.7 | 3 2 -1 |
| 51.59 | 1.772 | 24.2 | 3 2 -5 |